The following is a calculated powder diffractogram of Ba2CrF6. It was derived from a PBE+U-relaxed structure, using Cu Kα (weighted mean of Kα1 and Kα2).

Atomic structure:
abc: 16.318 5.991 6.088
angles: 90.00 90.00 90.00
Space group Cmce (No. 64)
Symmetry-distinct sites (fractional):
Ba  0.154  0.000  0.000 x8
Cr  0.000  0.000  0.500 x4
F  0.000  0.196  0.151 x8
F  0.122  0.000  0.500 x8
F  0.250  0.248  0.750 x8

Main lines, in order of rising 2θ (2θ from 15° to 90°):
| hkl | 2θ/deg | I/Imax |
| --- | --- | --- |
| 3 1 1 | 26.5 | 1000 |
| 0 0 2 | 29.3 | 237 |
| 0 2 0 | 29.8 | 200 |
| 6 0 0 | 32.9 | 152 |
| 4 0 2 | 36.8 | 150 |
| 4 2 0 | 37.2 | 168 |
| 0 2 2 | 42.3 | 300 |
| 6 0 2 | 44.7 | 151 |
| 3 1 3 | 50.4 | 195 |
| 3 3 1 | 51.0 | 196 |